(1)
This entry pairs a crystal structure of NaHg5 with its computed XRD peak list. Radiation: Cu Kα. Structure: a crystal structure in Alexandria, relaxed with PBE.
Intensities are scaled so that the largest is 100.

Largest 10 diffraction maxima, most intense first, 15° ≤ 2θ ≤ 90°:
| Position (°2θ) | I (rel.) |
| --- | --- |
| 32.80 | 100 |
| 37.72 | 35 |
| 65.01 | 29 |
| 55.16 | 23 |
| 38.71 | 16 |
| 66.34 | 13 |
| 54.41 | 12 |
| 68.76 | 12 |
| 89.74 | 6 |
| 27.20 | 5 |

Structure:
Unit cell a=4.7710 b=13.9579 c=4.7677 alpha=90.00 beta=90.00 gamma=90.00
Fractional positions:
Na (0.0000, 0.0000, 0.0000)
Na (0.5000, 0.5000, 0.0000)
Hg (0.0000, 0.1628, 0.5000)
Hg (0.0000, 0.3331, 0.0000)
Hg (0.0000, 0.5000, 0.5000)
Hg (0.0000, 0.6669, 0.0000)
Hg (0.0000, 0.8372, 0.5000)
Hg (0.5000, 0.0000, 0.5000)
Hg (0.5000, 0.1669, 0.0000)
Hg (0.5000, 0.3372, 0.5000)
Hg (0.5000, 0.6628, 0.5000)
Hg (0.5000, 0.8331, 0.0000)

(2)
This entry pairs a crystal structure of Rb3Zr6BeCl15 with its computed XRD peak list. Radiation: Cu Kα. Structure: a crystal structure in Alexandria, relaxed with PBE.
Intensities are scaled so that the largest is 100.

Largest 10 diffraction maxima, most intense first, 15° ≤ 2θ ≤ 90°:
| Position (°2θ) | I (rel.) |
| --- | --- |
| 36.87 | 100 |
| 31.53 | 97 |
| 32.99 | 70 |
| 51.26 | 64 |
| 24.28 | 63 |
| 34.99 | 62 |
| 35.21 | 47 |
| 26.30 | 44 |
| 35.39 | 44 |
| 25.72 | 38 |

Structure:
Unit cell a=10.3368 b=10.3368 c=14.4289 alpha=92.92 beta=92.92 gamma=68.99
Fractional positions:
Rb (0.0622, 0.9378, 0.7500)
Rb (0.1333, 0.6437, 0.4329)
Rb (0.3563, 0.8667, 0.0671)
Rb (0.6437, 0.1333, 0.9329)
Rb (0.8667, 0.3563, 0.5671)
Rb (0.9378, 0.0622, 0.2500)
Zr (0.0030, 0.7255, 0.0021)
Zr (0.1510, 0.4513, 0.1328)
Zr (0.1926, 0.4222, 0.9028)
Zr (0.2745, 0.9970, 0.4979)
Zr (0.4222, 0.1926, 0.4028)
Zr (0.4513, 0.1510, 0.6328)
Zr (0.5487, 0.8490, 0.3672)
Zr (0.5778, 0.8074, 0.5972)
Zr (0.7255, 0.0030, 0.5021)
Zr (0.8074, 0.5778, 0.0972)
Zr (0.8490, 0.5487, 0.8672)
Zr (0.9970, 0.2745, 0.9979)
Be (0.0000, 0.5000, 0.0000)
Be (0.5000, 0.0000, 0.5000)
Cl (0.0000, 0.0000, 0.0000)
Cl (0.0000, 0.0000, 0.5000)
Cl (0.0441, 0.4779, 0.7500)
Cl (0.1568, 0.1978, 0.1432)
Cl (0.1607, 0.7017, 0.1502)
Cl (0.1620, 0.2115, 0.3974)
Cl (0.1978, 0.1568, 0.6432)
Cl (0.2115, 0.1620, 0.8974)
Cl (0.2171, 0.6665, 0.8988)
Cl (0.2983, 0.8393, 0.3498)
Cl (0.3260, 0.4095, 0.2873)
Cl (0.3335, 0.7829, 0.6012)
Cl (0.3637, 0.3757, 0.5394)
Cl (0.3757, 0.3637, 0.0394)
Cl (0.4095, 0.3260, 0.7873)
Cl (0.4779, 0.0441, 0.2500)
Cl (0.5221, 0.9559, 0.7500)
Cl (0.5905, 0.6740, 0.2127)
Cl (0.6243, 0.6363, 0.9606)
Cl (0.6363, 0.6243, 0.4606)
Cl (0.6665, 0.2171, 0.3988)
Cl (0.6740, 0.5905, 0.7127)
Cl (0.7017, 0.1607, 0.6502)
Cl (0.7829, 0.3335, 0.1012)
Cl (0.7885, 0.8380, 0.1026)
Cl (0.8022, 0.8432, 0.3568)
Cl (0.8380, 0.7885, 0.6026)
Cl (0.8393, 0.2983, 0.8498)
Cl (0.8432, 0.8022, 0.8568)
Cl (0.9559, 0.5221, 0.2500)

(3)
This entry pairs a crystal structure of Ac13Tl2 with its computed XRD peak list. Radiation: Cu Kα. Structure: a crystal structure in Alexandria, relaxed with PBE.
Intensities are scaled so that the largest is 100.

Largest 10 diffraction maxima, most intense first, 15° ≤ 2θ ≤ 90°:
| Position (°2θ) | I (rel.) |
| --- | --- |
| 28.15 | 100 |
| 30.26 | 80 |
| 28.21 | 50 |
| 27.84 | 42 |
| 52.60 | 19 |
| 36.73 | 18 |
| 43.50 | 15 |
| 52.43 | 14 |
| 43.15 | 13 |
| 48.06 | 13 |

Structure:
Unit cell a=7.0912 b=9.3148 c=10.6429 alpha=69.15 beta=77.71 gamma=82.01
Fractional positions:
Ac (0.0000, 0.0000, 0.0000)
Ac (0.0487, 0.4203, 0.7062)
Ac (0.2125, 0.1801, 0.2298)
Ac (0.2516, 0.5955, 0.9444)
Ac (0.2812, 0.9926, 0.6470)
Ac (0.4590, 0.3753, 0.4119)
Ac (0.4794, 0.7945, 0.1488)
Ac (0.5206, 0.2055, 0.8512)
Ac (0.5410, 0.6247, 0.5881)
Ac (0.7188, 0.0074, 0.3530)
Ac (0.7484, 0.4045, 0.0556)
Ac (0.7875, 0.8199, 0.7702)
Ac (0.9513, 0.5797, 0.2938)
Tl (0.1333, 0.7894, 0.4538)
Tl (0.8667, 0.2106, 0.5462)

(4)
This entry pairs a crystal structure of Ac2Pr4Nd5 with its computed XRD peak list. Radiation: Cu Kα. Structure: a crystal structure in Alexandria, relaxed with PBE.
Intensities are scaled so that the largest is 100.

Largest 10 diffraction maxima, most intense first, 15° ≤ 2θ ≤ 90°:
| Position (°2θ) | I (rel.) |
| --- | --- |
| 29.18 | 100 |
| 29.31 | 98 |
| 30.95 | 73 |
| 29.01 | 52 |
| 33.48 | 51 |
| 35.06 | 49 |
| 26.01 | 45 |
| 60.11 | 40 |
| 34.24 | 39 |
| 24.93 | 35 |

Structure:
Unit cell a=9.6084 b=9.6084 c=12.1191 alpha=90.29 beta=90.29 gamma=21.82
Fractional positions:
Ac (0.0955, 0.0955, 0.0464)
Ac (0.9045, 0.9045, 0.9536)
Pr (0.0544, 0.0544, 0.7494)
Pr (0.3146, 0.3146, 0.4130)
Pr (0.6854, 0.6854, 0.5870)
Pr (0.9456, 0.9456, 0.2506)
Nd (0.1315, 0.1315, 0.3371)
Nd (0.2394, 0.2394, 0.8470)
Nd (0.5000, 0.5000, 0.5000)
Nd (0.7606, 0.7606, 0.1530)
Nd (0.8685, 0.8685, 0.6629)

Copy entry 2 word for word.
This entry pairs a crystal structure of Rb3Zr6BeCl15 with its computed XRD peak list. Radiation: Cu Kα. Structure: a crystal structure in Alexandria, relaxed with PBE.
Intensities are scaled so that the largest is 100.

Largest 10 diffraction maxima, most intense first, 15° ≤ 2θ ≤ 90°:
| Position (°2θ) | I (rel.) |
| --- | --- |
| 36.87 | 100 |
| 31.53 | 97 |
| 32.99 | 70 |
| 51.26 | 64 |
| 24.28 | 63 |
| 34.99 | 62 |
| 35.21 | 47 |
| 26.30 | 44 |
| 35.39 | 44 |
| 25.72 | 38 |

Structure:
Unit cell a=10.3368 b=10.3368 c=14.4289 alpha=92.92 beta=92.92 gamma=68.99
Fractional positions:
Rb (0.0622, 0.9378, 0.7500)
Rb (0.1333, 0.6437, 0.4329)
Rb (0.3563, 0.8667, 0.0671)
Rb (0.6437, 0.1333, 0.9329)
Rb (0.8667, 0.3563, 0.5671)
Rb (0.9378, 0.0622, 0.2500)
Zr (0.0030, 0.7255, 0.0021)
Zr (0.1510, 0.4513, 0.1328)
Zr (0.1926, 0.4222, 0.9028)
Zr (0.2745, 0.9970, 0.4979)
Zr (0.4222, 0.1926, 0.4028)
Zr (0.4513, 0.1510, 0.6328)
Zr (0.5487, 0.8490, 0.3672)
Zr (0.5778, 0.8074, 0.5972)
Zr (0.7255, 0.0030, 0.5021)
Zr (0.8074, 0.5778, 0.0972)
Zr (0.8490, 0.5487, 0.8672)
Zr (0.9970, 0.2745, 0.9979)
Be (0.0000, 0.5000, 0.0000)
Be (0.5000, 0.0000, 0.5000)
Cl (0.0000, 0.0000, 0.0000)
Cl (0.0000, 0.0000, 0.5000)
Cl (0.0441, 0.4779, 0.7500)
Cl (0.1568, 0.1978, 0.1432)
Cl (0.1607, 0.7017, 0.1502)
Cl (0.1620, 0.2115, 0.3974)
Cl (0.1978, 0.1568, 0.6432)
Cl (0.2115, 0.1620, 0.8974)
Cl (0.2171, 0.6665, 0.8988)
Cl (0.2983, 0.8393, 0.3498)
Cl (0.3260, 0.4095, 0.2873)
Cl (0.3335, 0.7829, 0.6012)
Cl (0.3637, 0.3757, 0.5394)
Cl (0.3757, 0.3637, 0.0394)
Cl (0.4095, 0.3260, 0.7873)
Cl (0.4779, 0.0441, 0.2500)
Cl (0.5221, 0.9559, 0.7500)
Cl (0.5905, 0.6740, 0.2127)
Cl (0.6243, 0.6363, 0.9606)
Cl (0.6363, 0.6243, 0.4606)
Cl (0.6665, 0.2171, 0.3988)
Cl (0.6740, 0.5905, 0.7127)
Cl (0.7017, 0.1607, 0.6502)
Cl (0.7829, 0.3335, 0.1012)
Cl (0.7885, 0.8380, 0.1026)
Cl (0.8022, 0.8432, 0.3568)
Cl (0.8380, 0.7885, 0.6026)
Cl (0.8393, 0.2983, 0.8498)
Cl (0.8432, 0.8022, 0.8568)
Cl (0.9559, 0.5221, 0.2500)